Starting from a GGA-PBE-relaxed structure, the powder diffraction line list of NdHoZnCo2 was calculated for Cu Ka.
Lines closer than 0.1° are merged.

a b c (Å): 4.1189 5.4965 8.2876
angles (deg): 90.00 90.00 90.00
Space group Imm2 (No. 44)
One atom of each set of equivalent atoms:
Nd (0.0000, 0.0000, 0.0000) (multiplicity 2)
Ho (0.0000, 0.0000, 0.5827) (multiplicity 2)
Zn (0.0000, 0.5000, 0.7931) (multiplicity 2)
Co (0.0000, 0.2908, 0.2872) (multiplicity 4)

Top 10 peaks for 10 to 90 degrees two-theta, by angle:
2theta	d [Å]	intensity	index
27.05	3.296	29	1 1 0
32.58	2.748	16	0 2 0
34.78	2.580	100	1 1 2
36.40	2.468	21	0 1 3
39.31	2.292	43	0 2 2
40.95	2.204	31	1 2 1
43.69	2.072	12	0 0 4
43.97	2.059	24	2 0 0
60.45	1.531	13	2 2 2
70.13	1.342	20	1 2 5

Starting from a GGA-PBE-relaxed structure, the powder diffraction line list of Ho4Co3Ni was calculated for Cu Ka.
Lines closer than 0.1° are merged.

a b c (Å): 5.5406 3.8713 7.2688
angles (deg): 90.00 90.26 90.00
Space group Pm (No. 6)
One atom of each set of equivalent atoms:
Ho (0.0000, 0.0000, 0.0000) (multiplicity 1)
Ho (0.2484, 0.0000, 0.4948) (multiplicity 1)
Ho (0.4967, 0.5000, 0.8520) (multiplicity 1)
Ho (0.7494, 0.5000, 0.3560) (multiplicity 1)
Co (0.2560, 0.5000, 0.2074) (multiplicity 1)
Co (0.7679, 0.0000, 0.6485) (multiplicity 1)
Co (0.9804, 0.5000, 0.7067) (multiplicity 1)
Ni (0.4938, 0.0000, 0.1418) (multiplicity 1)

Top 10 peaks for 10 to 90 degrees two-theta, by angle:
2theta	d [Å]	intensity	index
28.12	3.173	38	1 1 0
30.74	2.908	100	1 1 1
33.83	2.650	100	0 1 2
34.60	2.593	55	2 0 -1
34.71	2.585	48	2 0 1
37.58	2.394	40	1 1 -2
37.68	2.387	38	1 1 2
41.99	2.152	83	2 1 1
46.94	1.936	44	0 2 0
59.64	1.550	43	2 2 -1

Starting from a GGA-PBE-relaxed structure, the powder diffraction line list of Ho2CoNi was calculated for Cu Ka.
Lines closer than 0.1° are merged.

a b c (Å): 3.9457 7.1472 5.5115
angles (deg): 90.00 90.00 90.00
Space group Pmn2_1 (No. 31)
One atom of each set of equivalent atoms:
Ho (0.0000, 0.0666, 0.0000) (multiplicity 2)
Ho (0.0000, 0.5761, 0.2412) (multiplicity 2)
Co (0.0000, 0.2187, 0.4911) (multiplicity 2)
Ni (0.0000, 0.7128, 0.7479) (multiplicity 2)

Top 10 peaks for 10 to 90 degrees two-theta, by angle:
2theta	d [Å]	intensity	index
27.81	3.208	38	1 0 1
29.80	2.998	32	0 2 1
30.54	2.927	92	1 1 1
33.84	2.649	100	1 2 0
34.89	2.571	100	0 1 2
37.68	2.387	83	1 2 1
41.28	2.187	52	0 3 1
41.94	2.154	82	1 1 2
46.00	1.973	46	2 0 0
59.01	1.565	44	2 1 2

Starting from a GGA-PBE-relaxed structure, the powder diffraction line list of Ho3CoNi8 was calculated for Cu Ka.
Lines closer than 0.1° are merged.

a b c (Å): 4.9187 4.9187 24.3041
angles (deg): 90.00 90.00 120.00
Space group R-3m (No. 166, hexagonal axes)
One atom of each set of equivalent atoms:
Ho (0.0000, 0.0000, 0.0000) (multiplicity 3)
Ho (0.0000, 0.0000, 0.1395) (multiplicity 6)
Co (0.0000, 0.0000, 0.5000) (multiplicity 3)
Ni (0.0000, 0.0000, 0.3331) (multiplicity 6)
Ni (0.9998, 0.4999, 0.0824) (multiplicity 18)

Top 10 peaks for 10 to 90 degrees two-theta, by angle:
2theta	d [Å]	intensity	index
33.29	2.691	48	1 0 7
36.32	2.473	38	0 1 8
36.54	2.459	51	1 1 0
42.61	2.122	37	0 2 1
43.04	2.102	100	1 1 6
46.55	1.951	13	2 0 5
63.71	1.461	15	2 1 7
65.63	1.423	13	1 2 8
70.25	1.340	20	3 0 6
77.65	1.230	20	2 2 0

Starting from a GGA-PBE-relaxed structure, the powder diffraction line list of YHo2Co7Ni2 was calculated for Cu Ka.
Lines closer than 0.1° are merged.

a b c (Å): 4.9112 4.9112 24.4602
angles (deg): 90.00 90.00 120.00
Space group R-3m (No. 166, hexagonal axes)
One atom of each set of equivalent atoms:
Y (0.0000, 0.0000, 0.0000) (multiplicity 3)
Ho (0.0000, 0.0000, 0.1395) (multiplicity 6)
Co (0.0000, 0.0000, 0.5000) (multiplicity 3)
Co (0.0005, 0.5003, 0.9181) (multiplicity 18)
Ni (0.0000, 0.0000, 0.3334) (multiplicity 6)

Top 10 peaks for 10 to 90 degrees two-theta, by angle:
2theta	d [Å]	intensity	index
33.18	2.700	49	1 0 7
36.18	2.483	40	0 1 8
36.59	2.456	56	1 1 0
42.67	2.119	46	0 2 1
43.00	2.103	100	1 1 6
45.14	2.009	20	0 2 4
46.06	1.971	26	0 1 11
46.57	1.950	24	2 0 5
70.30	1.339	22	3 0 6
77.79	1.228	23	2 2 0

Starting from a GGA-PBE-relaxed structure, the powder diffraction line list of Y2HoCo7Ni2 was calculated for Cu Ka.
Lines closer than 0.1° are merged.

a b c (Å): 4.9107 4.9107 24.5525
angles (deg): 90.00 90.00 120.00
Space group R-3m (No. 166, hexagonal axes)
One atom of each set of equivalent atoms:
Y (0.0000, 0.0000, 0.1395) (multiplicity 6)
Ho (0.0000, 0.0000, 0.0000) (multiplicity 3)
Co (0.0000, 0.0000, 0.5000) (multiplicity 3)
Co (0.0001, 0.5001, 0.0813) (multiplicity 18)
Ni (0.0000, 0.0000, 0.3335) (multiplicity 6)

Top 10 peaks for 10 to 90 degrees two-theta, by angle:
2theta	d [Å]	intensity	index
33.11	2.706	34	1 0 7
36.09	2.489	34	0 1 8
36.60	2.455	41	1 1 0
42.68	2.118	35	0 2 1
42.96	2.105	100	1 1 6
43.18	2.095	16	2 0 2
44.27	2.046	19	0 0 12
46.54	1.951	13	2 0 5
70.27	1.339	22	3 0 6
77.80	1.228	20	2 2 0

Starting from a GGA-PBE-relaxed structure, the powder diffraction line list of YHo2Co6Ni3 was calculated for Cu Ka.
Lines closer than 0.1° are merged.

a b c (Å): 4.8909 4.8909 24.6213
angles (deg): 90.00 90.00 120.00
Space group R-3m (No. 166, hexagonal axes)
One atom of each set of equivalent atoms:
Y (0.0000, 0.0000, 0.0000) (multiplicity 3)
Ho (0.0000, 0.0000, 0.1392) (multiplicity 6)
Co (0.0008, 0.5004, 0.9184) (multiplicity 18)
Ni (0.0000, 0.0000, 0.3333) (multiplicity 6)
Ni (0.0000, 0.0000, 0.5000) (multiplicity 3)

Top 10 peaks for 10 to 90 degrees two-theta, by angle:
2theta	d [Å]	intensity	index
33.11	2.706	49	1 0 7
36.07	2.490	42	0 1 8
36.75	2.445	56	1 1 0
42.86	2.110	37	0 2 1
43.06	2.101	100	1 1 6
45.28	2.003	20	0 2 4
45.85	1.979	26	0 1 11
46.69	1.946	25	2 0 5
70.54	1.335	21	3 0 6
78.17	1.223	23	2 2 0